Entry 1:
This entry pairs a crystal structure of La2CdAs2O with its computed X-ray diffraction stick pattern. Radiation: λ = 1.5418 Å (Cu Kα). Structure: the PBE geometry in the Materials Project.

Cell lengths 3.5189, 3.5189, 15.2927 Å; angles 90.00, 90.00, 90.00 degrees
Space group P4/mmm (No. 123)
Unique sites:
La  0.0000  0.0000  0.1369 x2
Cd  0.0000  0.0000  0.5000 x1
As  0.0000  0.0000  0.3357 x2
O  0.0000  0.0000  0.0000 x1

Principal peaks in the range 2θ = 15–90°, in order of rising 2θ:
2θ (°)	Rel. int.	(hkl)
17.40	11.4	0 0 3
25.31	100.0	1 0 0
30.88	11.5	1 0 3
34.65	12.9	1 0 4
36.10	39.1	1 1 0
39.02	15.3	1 0 5
43.86	23.3	1 0 6
51.31	14.5	1 1 6
51.97	13.5	2 0 0
58.67	18.5	2 1 0

Entry 2:
This entry pairs a crystal structure of NaCdAs with its computed X-ray diffraction stick pattern. Radiation: λ = 1.5418 Å (Cu Kα). Structure: the PBE geometry in the Materials Project.

Cell lengths 7.6495, 4.5189, 8.1790 Å; angles 90.00, 90.00, 90.00 degrees
Space group Pnma (No. 62)
Unique sites:
Na  0.0185  0.2500  0.1735 x4
Cd  0.1500  0.2500  0.5744 x4
As  0.2215  0.7500  0.3908 x4

Principal peaks in the range 2θ = 15–90°, in order of rising 2θ:
2θ (°)	Rel. int.	(hkl)
15.86	95.7	1 0 1
22.48	75.1	0 1 1
23.26	39.2	2 0 0
30.62	42.4	2 1 0
31.74	77.5	1 1 2
32.57	64.7	2 1 1
36.93	63.9	3 0 1
38.57	100.0	0 1 3
39.90	62.4	0 2 0
46.54	39.5	3 1 2

Entry 3:
This entry pairs a crystal structure of NaCdAsS3 with its computed X-ray diffraction stick pattern. Radiation: λ = 1.5418 Å (Cu Kα). Structure: the PBE geometry in the Materials Project.

Cell lengths 5.7670, 16.7340, 8.1107 Å; angles 90.00, 134.09, 90.00 degrees
Space group P2_1/c (No. 14)
Unique sites:
Na  0.2011  0.0742  0.2342 x4
Cd  0.2442  0.7493  0.7455 x4
As  0.2820  0.1006  0.7703 x4
S  0.1791  0.2362  0.7139 x4
S  0.3642  0.5976  0.7721 x4
S  0.3724  0.6004  0.3403 x4

Principal peaks in the range 2θ = 15–90°, in order of rising 2θ:
2θ (°)	Rel. int.	(hkl)
18.56	35.2	0 2 1
26.81	58.0	1 3 0
27.19	45.7	1 3 -2
30.69	100.0	0 0 2
31.02	95.9	2 0 -2
32.09	84.7	0 6 0
44.69	34.8	2 0 -4
45.01	61.6	0 6 2
45.24	51.8	2 6 -2
56.08	27.7	2 6 -4

Entry 4:
This entry pairs a crystal structure of Cd3As2O8 with its computed X-ray diffraction stick pattern. Radiation: λ = 1.5418 Å (Cu Kα). Structure: the PBE geometry in the Materials Project.

Cell lengths 9.4845, 12.3413, 6.7309 Å; angles 90.00, 98.15, 90.00 degrees
Space group P2_1/c (No. 14)
Unique sites:
Cd  0.0558  0.1163  0.1540 x4
Cd  0.2792  0.0753  0.6668 x4
Cd  0.3582  0.6927  0.6276 x4
As  0.0831  0.6368  0.8903 x4
As  0.3946  0.0863  0.1885 x4
O  0.0747  0.2053  0.6026 x4
O  0.0787  0.5662  0.6675 x4
O  0.1176  0.5642  0.1104 x4
O  0.2166  0.7308  0.8744 x4
O  0.2650  0.0790  0.9827 x4
O  0.2926  0.1304  0.3652 x4
O  0.4714  0.5396  0.7475 x4
O  0.4753  0.6798  0.3406 x4

Principal peaks in the range 2θ = 15–90°, in order of rising 2θ:
2θ (°)	Rel. int.	(hkl)
23.61	100.0	1 3 0
27.10	44.2	1 0 -2
27.86	44.9	1 3 1
28.07	46.2	1 1 -2
28.68	88.0	2 2 1
28.90	72.1	0 4 0
30.53	32.8	1 4 0
30.65	87.2	3 1 -1
34.65	46.8	0 3 2
48.30	37.3	2 5 -2

Entry 5:
This entry pairs a crystal structure of CdAs2O6 with its computed X-ray diffraction stick pattern. Radiation: λ = 1.5418 Å (Cu Kα). Structure: the PBE geometry in the Materials Project.

Cell lengths 4.9285, 4.9285, 4.9853 Å; angles 90.00, 90.00, 120.00 degrees
Space group P-31m (No. 162)
Unique sites:
Cd  0.0000  0.0000  0.0000 x1
As  0.3333  0.6667  0.5000 x2
O  0.0000  0.3764  0.7094 x6

Principal peaks in the range 2θ = 15–90°, in order of rising 2θ:
2θ (°)	Rel. int.	(hkl)
27.51	100.0	1 0 1
36.46	30.5	1 1 0
46.28	20.8	2 0 1
52.20	40.2	2 -1 2
59.71	9.5	1 0 3
60.30	20.4	3 -1 1
65.62	11.5	3 0 0
83.52	7.9	2 1 3
84.03	8.5	3 1 1
88.53	8.0	2 2 2

Entry 6:
This entry pairs a crystal structure of Cd2As2O7 with its computed X-ray diffraction stick pattern. Radiation: λ = 1.5418 Å (Cu Kα). Structure: the PBE geometry in the Materials Project.

Cell lengths 7.1139, 9.2451, 4.9589 Å; angles 90.00, 101.96, 90.00 degrees
Space group C2/m (No. 12)
Unique sites:
Cd  0.0000  0.1954  0.0000 x4
As  0.2267  0.5000  0.4084 x4
O  0.0000  0.5000  0.5000 x2
O  0.1132  0.0000  0.2837 x4
O  0.2350  0.3452  0.2225 x8

Principal peaks in the range 2θ = 15–90°, in order of rising 2θ:
2θ (°)	Rel. int.	(hkl)
26.30	39.2	1 1 1
26.64	100.0	0 2 1
28.30	58.7	2 0 -1
31.76	23.2	1 3 0
32.20	41.8	2 2 0
34.70	14.3	2 0 1
40.68	14.1	2 0 -2
45.37	18.5	2 2 -2
51.75	21.4	1 3 2
55.97	20.2	4 2 -1

Entry 7:
This entry pairs a crystal structure of Pr2CdAs2O with its computed X-ray diffraction stick pattern. Radiation: λ = 1.5418 Å (Cu Kα). Structure: the PBE geometry in the Materials Project.

Cell lengths 3.4421, 3.4421, 15.5081 Å; angles 90.00, 90.00, 90.00 degrees
Space group P4/mmm (No. 123)
Unique sites:
Pr  0.0000  0.0000  0.1371 x2
Cd  0.0000  0.0000  0.5000 x1
As  0.0000  0.0000  0.3367 x2
O  0.0000  0.0000  0.0000 x1

Principal peaks in the range 2θ = 15–90°, in order of rising 2θ:
2θ (°)	Rel. int.	(hkl)
17.15	13.3	0 0 3
25.88	100.0	1 0 0
31.22	12.7	1 0 3
34.86	14.5	1 0 4
36.93	38.9	1 1 0
39.09	15.3	1 0 5
43.80	24.6	1 0 6
51.58	15.0	1 1 6
53.22	13.4	2 0 0
60.11	18.6	2 1 0

Entry 8:
This entry pairs a crystal structure of SrCdAs2O7 with its computed X-ray diffraction stick pattern. Radiation: λ = 1.5418 Å (Cu Kα). Structure: the PBE geometry in the Materials Project.

Cell lengths 5.8985, 7.2839, 7.6268 Å; angles 101.17, 90.36, 98.72 degrees
Space group P-1 (No. 2)
Unique sites:
Sr  0.1903  0.2748  0.4357 x2
Cd  0.1845  0.1677  0.8991 x2
As  0.2924  0.6691  0.8862 x2
As  0.3173  0.7788  0.3206 x2
O  0.0884  0.8155  0.8756 x2
O  0.1058  0.9170  0.3234 x2
O  0.2140  0.4463  0.7679 x2
O  0.2676  0.6345  0.4702 x2
O  0.2870  0.6185  0.1075 x2
O  0.4084  0.1030  0.6603 x2
O  0.4345  0.2252  0.1412 x2

Principal peaks in the range 2θ = 15–90°, in order of rising 2θ:
2θ (°)	Rel. int.	(hkl)
25.23	84.5	0 2 0
27.88	55.2	1 0 -2
28.11	36.5	1 -2 1
28.85	100.0	1 0 2
29.68	38.0	1 1 -2
30.69	59.4	2 0 0
31.34	40.4	2 -1 0
31.63	37.7	-1 1 2
31.77	32.2	1 2 -1
63.10	31.1	4 -1 0

Entry 9:
This entry pairs a crystal structure of CdAsP with its computed X-ray diffraction stick pattern. Radiation: λ = 1.5418 Å (Cu Kα). Structure: the PBE geometry in the Materials Project.

Cell lengths 4.6420, 7.8646, 8.1229 Å; angles 90.00, 90.00, 90.00 degrees
Space group I2_12_12_1 (No. 24)
Unique sites:
Cd  0.1394  0.0000  0.2500 x4
As  0.2500  0.4357  0.5000 x4
P  0.0000  0.2500  0.6763 x4

Principal peaks in the range 2θ = 15–90°, in order of rising 2θ:
2θ (°)	Rel. int.	(hkl)
15.68	21.9	0 1 1
22.61	40.8	0 2 0
31.40	100.0	1 1 2
31.79	49.8	1 2 1
42.09	22.1	2 1 1
45.59	18.5	1 3 2
50.59	15.2	0 2 4
51.69	15.9	0 4 2
53.27	13.5	2 1 3
53.96	16.0	2 3 1

Entry 10:
This entry pairs a crystal structure of CdAsPt5 with its computed X-ray diffraction stick pattern. Radiation: λ = 1.5418 Å (Cu Kα). Structure: the PBE geometry in the Materials Project.

Cell lengths 4.0271, 4.0271, 7.2541 Å; angles 90.00, 90.00, 90.00 degrees
Space group P4/mmm (No. 123)
Unique sites:
Cd  0.0000  0.0000  0.0000 x1
As  0.5000  0.5000  0.5000 x1
Pt  0.0000  0.5000  0.2869 x4
Pt  0.5000  0.5000  0.0000 x1

Principal peaks in the range 2θ = 15–90°, in order of rising 2θ:
2θ (°)	Rel. int.	(hkl)
31.42	12.4	1 1 0
33.82	23.1	1 1 1
37.18	14.1	0 0 3
40.27	100.0	1 1 2
45.02	42.2	2 0 0
59.77	14.4	2 0 3
65.57	13.9	2 2 0
69.79	12.3	2 0 4
73.22	13.3	1 1 5
79.82	27.7	3 1 2

Entry 11:
This entry pairs a crystal structure of RbCd4As3 with its computed X-ray diffraction stick pattern. Radiation: λ = 1.5418 Å (Cu Kα). Structure: the PBE geometry in the Materials Project.

Cell lengths 4.5779, 4.5779, 37.4184 Å; angles 90.00, 90.00, 120.00 degrees
Space group R-3m (No. 166, hexagonal axes)
Unique sites:
Rb  0.0000  0.0000  0.0000 x3
Cd  0.0000  0.0000  0.1973 x6
Cd  0.0000  0.0000  0.4138 x6
As  0.0000  0.0000  0.2690 x6
As  0.0000  0.0000  0.5000 x3

Principal peaks in the range 2θ = 15–90°, in order of rising 2θ:
2θ (°)	Rel. int.	(hkl)
24.38	31.1	1 0 4
25.42	68.6	0 1 5
32.91	63.3	1 0 10
38.66	47.7	1 0 13
39.36	100.0	1 1 0
52.22	16.4	0 2 10
54.40	24.5	1 1 15
56.36	15.3	0 2 13
70.90	15.0	2 1 13
71.37	16.4	3 0 0

Entry 12:
This entry pairs a crystal structure of CdSnAs2 with its computed X-ray diffraction stick pattern. Radiation: λ = 1.5418 Å (Cu Kα). Structure: the PBE geometry in the Materials Project.

Cell lengths 8.2514, 4.4157, 39.8963 Å; angles 90.00, 90.62, 90.00 degrees
Space group Cm (No. 8)
Unique sites:
Cd  0.0000  0.0000  0.0000 x2
Cd  0.0011  0.0000  0.7527 x2
Cd  0.1668  0.5000  0.9170 x2
Cd  0.1692  0.5000  0.6714 x2
Cd  0.3325  0.0000  0.0757 x2
Cd  0.3331  0.0000  0.8346 x2
Sn  0.0002  0.0000  0.5002 x2
Sn  0.0012  0.0000  0.2527 x2
Sn  0.1685  0.5000  0.1701 x2
Sn  0.1679  0.5000  0.4183 x2
Sn  0.3354  0.0000  0.3351 x2
Sn  0.3378  0.0000  0.5924 x2
As  0.0085  0.0000  0.5684 x2
As  0.0105  0.0000  0.8217 x2
As  0.0113  0.0000  0.0687 x2
As  0.0122  0.0000  0.3211 x2
As  0.1773  0.5000  0.9852 x2
As  0.1784  0.5000  0.2389 x2
As  0.1782  0.5000  0.4865 x2
As  0.1783  0.5000  0.7394 x2
As  0.3407  0.0000  0.1474 x2
As  0.3443  0.0000  0.9031 x2
As  0.3450  0.0000  0.4035 x2
As  0.3448  0.0000  0.6579 x2

Principal peaks in the range 2θ = 15–90°, in order of rising 2θ:
2θ (°)	Rel. int.	(hkl)
23.42	45.4	2 0 4
24.50	100.0	1 1 -4
26.82	57.1	0 0 12
38.57	63.0	3 1 0
40.87	27.0	0 2 0
42.57	18.9	2 0 16
42.98	39.4	1 1 -16
47.38	21.6	3 1 -12
47.82	27.3	3 1 12
49.56	21.0	0 2 12